[1]
Diffraction record for Pr2Nd2BBr5. The powder diffractogram is theoretical, not measured: it uses a structure optimized by DFT (PBE) and Cu Kα (weighted mean of Kα1 and Kα2).

Structure:
a = 9.5423 Å, b = 9.5423 Å, c = 8.5022 Å
α = 103.08°, β = 103.08°, γ = 24.70°
Positions (direct):
Pr 0.1453 0.1453 0.0793
Pr 0.8547 0.8547 0.9207
Nd 0.4991 0.4991 0.2130
Nd 0.5009 0.5009 0.7870
B 0.0000 0.0000 0.0000
Br 0.0000 0.0000 0.5000
Br 0.3300 0.3300 0.1690
Br 0.3358 0.3358 0.6572
Br 0.6642 0.6642 0.3428
Br 0.6700 0.6700 0.8310

Principal peaks in the range 10 to 90 degrees two-theta, most intense first:
Position (°2θ), intensity
30.36, 100
29.55, 48
10.70, 33
42.94, 33
42.82, 31
29.80, 20
54.22, 20
44.39, 19
42.53, 17
27.15, 16

***

[2]
Diffraction record for UAs2Pd4. The powder diffractogram is theoretical, not measured: it uses a structure optimized by DFT (PBE) and Cu Kα (weighted mean of Kα1 and Kα2).

Structure:
a = 7.6858 Å, b = 7.6858 Å, c = 4.0985 Å
α = 90.00°, β = 90.00°, γ = 90.00°
Positions (direct):
U 0.0000 0.0000 0.0000
U 0.5000 0.5000 0.5000
As 0.2164 0.2164 0.5000
As 0.2836 0.7164 0.0000
As 0.7164 0.2836 0.0000
As 0.7836 0.7836 0.5000
Pd 0.0930 0.6577 0.5000
Pd 0.1577 0.4070 0.0000
Pd 0.3423 0.9070 0.5000
Pd 0.4070 0.1577 0.0000
Pd 0.5930 0.8423 0.0000
Pd 0.6577 0.0930 0.5000
Pd 0.8423 0.5930 0.0000
Pd 0.9070 0.3423 0.5000

Principal peaks in the range 10 to 90 degrees two-theta, most intense first:
Position (°2θ), intensity
34.04, 100
36.99, 47
43.28, 37
39.80, 35
44.20, 28
64.77, 26
58.95, 25
32.96, 16
48.86, 14
24.62, 14

***

[3]
Diffraction record for Lu4Sc2Au3C3. The powder diffractogram is theoretical, not measured: it uses a structure optimized by DFT (PBE) and Cu Kα (weighted mean of Kα1 and Kα2).

Structure:
a = 5.9876 Å, b = 5.9876 Å, c = 15.1729 Å
α = 101.20°, β = 101.20°, γ = 59.94°
Positions (direct):
Lu 0.0296 0.1947 0.0876
Lu 0.1363 0.3044 0.4125
Lu 0.1947 0.0296 0.5876
Lu 0.3044 0.1363 0.9125
Lu 0.6956 0.8637 0.0875
Lu 0.8053 0.9704 0.4124
Lu 0.8637 0.6956 0.5875
Lu 0.9704 0.8053 0.9124
Sc 0.3605 0.5280 0.0847
Sc 0.4720 0.6395 0.4153
Sc 0.5280 0.3605 0.5847
Sc 0.6395 0.4720 0.9153
Au 0.0564 0.9436 0.7500
Au 0.1139 0.4162 0.7502
Au 0.4162 0.1139 0.2502
Au 0.5838 0.8861 0.7498
Au 0.8861 0.5838 0.2498
Au 0.9436 0.0564 0.2500
C 0.0000 0.5000 0.0000
C 0.1822 0.6589 0.4997
C 0.3411 0.8178 0.0003
C 0.5000 0.0000 0.5000
C 0.6589 0.1822 0.9997
C 0.8178 0.3411 0.5003

Principal peaks in the range 10 to 90 degrees two-theta, most intense first:
Position (°2θ), intensity
35.05, 100
35.12, 50
36.46, 47
17.22, 45
17.56, 36
38.35, 22
37.53, 21
29.85, 19
41.38, 17
64.78, 16

***

[4]
Diffraction record for Cu5Ag4. The powder diffractogram is theoretical, not measured: it uses a structure optimized by DFT (PBE) and Cu Kα (weighted mean of Kα1 and Kα2).

Structure:
a = 7.1771 Å, b = 7.1771 Å, c = 6.6873 Å
α = 92.83°, β = 92.83°, γ = 22.29°
Positions (direct):
Cu 0.0000 0.0000 0.0000
Cu 0.3450 0.3450 0.0063
Cu 0.5547 0.5547 0.3104
Cu 0.7820 0.7820 0.7004
Cu 0.9048 0.9048 0.3105
Ag 0.1139 0.1139 0.6463
Ag 0.2431 0.2431 0.3509
Ag 0.4397 0.4397 0.6577
Ag 0.6697 0.6697 0.0062

Principal peaks in the range 10 to 90 degrees two-theta, most intense first:
Position (°2θ), intensity
40.47, 100
46.17, 46
40.12, 34
48.56, 17
68.96, 12
69.52, 10
81.54, 8
81.81, 7
67.52, 7
81.17, 7

***

[5]
Diffraction record for YAgSnTe2S. The powder diffractogram is theoretical, not measured: it uses a structure optimized by DFT (PBE) and Cu Kα (weighted mean of Kα1 and Kα2).

Structure:
a = 7.5472 Å, b = 7.5472 Å, c = 10.3928 Å
α = 90.00°, β = 90.00°, γ = 146.75°
Positions (direct):
Y 0.0000 0.0000 0.0000
Y 0.0000 0.0000 0.5000
Ag 0.4808 0.5192 0.7500
Ag 0.5192 0.4808 0.2500
Sn 0.2761 0.7239 0.2500
Sn 0.7239 0.2761 0.7500
Te 0.3490 0.6510 0.5549
Te 0.3490 0.6510 0.9451
Te 0.6510 0.3490 0.0549
Te 0.6510 0.3490 0.4451
S 0.0806 0.9194 0.7500
S 0.9194 0.0806 0.2500

Principal peaks in the range 10 to 90 degrees two-theta, most intense first:
Position (°2θ), intensity
32.74, 100
33.74, 62
27.73, 60
29.06, 56
41.83, 45
41.39, 44
28.57, 41
30.11, 36
34.52, 35
21.47, 33

***

[6]
Diffraction record for Pr4CCl2F3. The powder diffractogram is theoretical, not measured: it uses a structure optimized by DFT (PBE) and Cu Kα (weighted mean of Kα1 and Kα2).

Structure:
a = 8.0688 Å, b = 8.0688 Å, c = 7.0549 Å
α = 104.65°, β = 104.65°, γ = 26.59°
Positions (direct):
Pr 0.0263 0.0263 0.2707
Pr 0.3351 0.3351 0.3374
Pr 0.6649 0.6649 0.6626
Pr 0.9737 0.9737 0.7293
C 0.5000 0.5000 0.5000
Cl 0.1559 0.1559 0.9677
Cl 0.8441 0.8441 0.0323
F 0.1860 0.1860 0.4329
F 0.5000 0.5000 0.0000
F 0.8140 0.8140 0.5671

Principal peaks in the range 10 to 90 degrees two-theta, most intense first:
Position (°2θ), intensity
29.85, 100
36.81, 73
35.11, 65
23.71, 59
27.26, 57
35.52, 46
47.41, 44
34.55, 43
43.21, 33
13.00, 31

***

[7]
Diffraction record for Ho4Br2NCl3. The powder diffractogram is theoretical, not measured: it uses a structure optimized by DFT (PBE) and Cu Kα (weighted mean of Kα1 and Kα2).

Structure:
a = 8.8107 Å, b = 8.8107 Å, c = 7.7024 Å
α = 102.70°, β = 102.70°, γ = 23.91°
Positions (direct):
Ho 0.9995 0.9995 0.2067
Ho 0.0005 0.0005 0.7933
Ho 0.3619 0.3619 0.9257
Ho 0.6381 0.6381 0.0743
Br 0.1712 0.1712 0.8132
Br 0.8288 0.8288 0.1868
N 0.5000 0.5000 0.0000
Cl 0.1587 0.1587 0.3390
Cl 0.5000 0.5000 0.5000
Cl 0.8413 0.8413 0.6610

Principal peaks in the range 10 to 90 degrees two-theta, most intense first:
Position (°2θ), intensity
11.79, 100
33.83, 91
47.23, 57
36.34, 44
31.97, 39
10.53, 37
35.46, 25
43.13, 21
32.95, 19
28.14, 17

***

[8]
Diffraction record for RbTmNO. The powder diffractogram is theoretical, not measured: it uses a structure optimized by DFT (PBE) and Cu Kα (weighted mean of Kα1 and Kα2).

Structure:
a = 3.8828 Å, b = 7.5038 Å, c = 6.2735 Å
α = 90.00°, β = 90.00°, γ = 90.00°
Positions (direct):
Rb 0.0000 0.1693 0.0000
Rb 0.0000 0.8307 0.5000
Tm 0.5000 0.3553 0.5260
Tm 0.5000 0.6447 0.0260
N 0.0000 0.2159 0.4645
N 0.0000 0.7841 0.9645
O 0.5000 0.4064 0.8535
O 0.5000 0.5936 0.3535

Principal peaks in the range 10 to 90 degrees two-theta, most intense first:
Position (°2θ), intensity
29.56, 100
27.70, 81
25.84, 52
28.45, 50
52.38, 33
43.02, 31
11.79, 31
38.80, 28
51.08, 25
55.25, 24